(1)
For KNaSi5SnW3O13, a DFT-relaxed cell (GGA+U, the Materials Project) gives the theoretical X-ray powder pattern in this record (copper Kα).

Top 10 peaks for 2θ from 15° to 90°, by intensity:
- (1 1 -2), 2θ 20.02, I 100.0
- (2 4 1), 2θ 31.18, I 88.1
- (2 0 -3), 2θ 30.14, I 80.7
- (3 1 1), 2θ 30.84, I 61.2
- (4 0 -1), 2θ 33.59, I 53.1
- (2 4 -2), 2θ 31.46, I 51.0
- (3 5 -1), 2θ 37.45, I 43.2
- (0 4 1), 2θ 23.90, I 43.1
- (2 0 3), 2θ 38.63, I 38.1
- (1 5 0), 2θ 28.65, I 29.3

Atomic structure:
```
data_KNaSi5SnW3O13
_cell_length_a 10.6736
_cell_length_b 16.3547
_cell_length_c 9.3515
_cell_angle_alpha 90.00
_cell_angle_beta 105.73
_cell_angle_gamma 90.00
_symmetry_space_group_name_H-M 'C 1 2/m 1'
_symmetry_Int_Tables_number 12
_symmetry_space_group_name_Hall '-C 2y'
loop_
_atom_site_label
_atom_site_fract_x
_atom_site_fract_y
_atom_site_fract_z
K1 0.1021 0.0000 0.3837
Na1 0.0000 0.3737 0.5000
Si1 0.0000 0.3110 0.0000
Si2 0.0558 0.2132 0.7280
Si3 0.2165 0.4004 0.2552
Sn1 0.2500 0.2500 0.5000
W1 0.1018 0.5000 0.7726
W2 0.1437 0.0926 0.0759
O1 0.0652 0.2527 0.8962
O2 0.0939 0.1900 0.3567
O3 0.1127 0.3700 0.1004
O4 0.1335 0.2740 0.6440
O5 0.1354 0.1243 0.7530
O6 0.1851 0.3626 0.4017
O7 0.2196 0.5000 0.2674
```

(2)
For KNaV2O6, a DFT-relaxed cell (GGA+U, the Materials Project) gives the theoretical X-ray powder pattern in this record (copper Kα).

Top 10 peaks for 2θ from 15° to 90°, by intensity:
- (2 2 -1), 2θ 26.37, I 100.0
- (0 0 2), 2θ 31.20, I 98.1
- (0 2 1), 2θ 23.23, I 38.2
- (2 2 0), 2θ 24.25, I 31.6
- (3 1 0), 2θ 26.96, I 30.7
- (3 1 -1), 2θ 27.68, I 30.0
- (0 4 1), 2θ 38.35, I 24.4
- (2 0 0), 2θ 16.93, I 21.7
- (1 3 -1), 2θ 30.44, I 20.8
- (2 2 -3), 2θ 49.66, I 18.4

Atomic structure:
```
data_KNaV2O6
_cell_length_a 10.8380
_cell_length_b 10.2909
_cell_length_c 5.9330
_cell_angle_alpha 90.00
_cell_angle_beta 104.85
_cell_angle_gamma 90.00
_symmetry_space_group_name_H-M 'C 1 2/c 1'
_symmetry_Int_Tables_number 15
_symmetry_space_group_name_Hall '-C 2yc'
loop_
_atom_site_label
_atom_site_fract_x
_atom_site_fract_y
_atom_site_fract_z
K1 0.0000 0.1980 0.2500
Na1 0.0000 0.4054 0.7500
V1 0.2141 0.0848 0.7776
O1 0.1253 0.4124 0.1494
O2 0.1535 0.2337 0.7144
O3 0.1552 0.0136 0.0140
```